Starting from a structure optimized by DFT (PBE), the powder XRD pattern of Sc2AlRu3 was calculated for Cu Kα X-rays.

Most intense lines, 2θ = 10–80°, in order of rising 2θ:
two_theta  d_spacing  Rel. int.
27.7  3.215  14
28.7  3.111  26
40.3  2.236  100
40.8  2.212  24
41.3  2.188  24
57.3  1.608  9
59.4  1.555  15
73.0  1.296  8
74.0  1.281  15
74.6  1.272  15

Atomic structure:
```
Sc2AlRu3
1.0
2.1881 -6.6347 0.0000
2.1881 6.6347 0.0000
0.0000 0.0000 3.2153
Sc Al Ru
2 1 3
Cartesian
2.1881 4.4742 0.0000
2.1881 -4.4742 0.0000
2.1881 0.0000 0.0000
0.0000 0.0000 1.6076
2.1881 2.1285 1.6076
2.1881 -2.1285 1.6076
```